Diffraction record for SrCaTc2N4. The X-ray powder pattern is computed, not measured: it uses a cell relaxed with PBE and a wavelength of 1.5418 Å.
Neutral-atom scattering factors, no anomalous dispersion.

Cell and atoms:
a b c (Å): 5.5721 5.6041 6.8851
angles (deg): 90.00 90.00 90.00
Space group Immm (No. 71)
Unique sites:
1 Sr 0.0000 0.0000 0.0000 x2
2 Ca 0.0000 0.0000 0.5000 x2
3 Tc 0.0000 0.5000 0.2264 x4
4 N 0.2500 0.2500 0.2500 x8

Top 12 peaks for 2θ = 10–90°, low angle first:
2θ (°)  Rel. int.  index
20.5  10  1 0 1
22.5  7  1 1 0
25.9  8  0 0 2
31.9  23  0 2 0
32.1  22  2 0 0
34.6  100  1 1 2
45.9  30  2 2 0
53.2  8  0 0 4
58.6  21  1 3 2
58.8  21  3 1 2
72.9  12  2 2 4
77.6  9  3 3 2